Starting from the GGA-PBE geometry in the Materials Project, the X-ray powder pattern of SrMgTl2 was computed for Cu Kα (λ = 1.5418 Å).
Neutral-atom scattering factors, no anomalous dispersion.

The 6 most intense peaks (10 to 90 degrees two-theta), in order of falling intensity:
(hkl), two_theta, d [Å], I_rel
2 2 0, 32.58, 2.748, 100
4 2 2, 58.14, 1.587, 39
2 0 0, 22.88, 3.886, 37
4 0 0, 46.75, 1.943, 18
6 2 0, 77.70, 1.229, 17
4 2 0, 52.66, 1.738, 17

```
16
Lattice="7.7725 0.0000 0.0000 0.0000 7.7725 0.0000 0.0000 0.0000 7.7725" Properties=species:S:1:pos:R:3 pbc="T T T"
Sr 0.0000 0.0000 0.0000
Sr 0.0000 3.8862 3.8862
Sr 3.8862 0.0000 3.8862
Sr 3.8862 3.8862 0.0000
Mg 0.0000 0.0000 3.8862
Mg 0.0000 3.8862 0.0000
Mg 3.8862 0.0000 0.0000
Mg 3.8862 3.8862 3.8862
Tl 1.9431 1.9431 1.9431
Tl 1.9431 1.9431 5.8293
Tl 1.9431 5.8293 1.9431
Tl 1.9431 5.8293 5.8293
Tl 5.8293 1.9431 1.9431
Tl 5.8293 1.9431 5.8293
Tl 5.8293 5.8293 1.9431
Tl 5.8293 5.8293 5.8293
```


Starting from the GGA-PBE geometry in the Materials Project, the X-ray powder pattern of W2NCl8 was computed for Cu Kα (λ = 1.5418 Å).
Neutral-atom scattering factors, no anomalous dispersion.

The 6 most intense peaks (10 to 90 degrees two-theta), in order of falling intensity:
(hkl), two_theta, d [Å], I_rel
1 0 0, 13.43, 6.591, 100
0 1 0, 13.21, 6.703, 84
1 2 -1, 31.73, 2.820, 56
0 0 2, 25.49, 3.494, 29
1 -1 0, 20.03, 4.434, 29
1 0 2, 27.20, 3.278, 26

```
11
Lattice="6.7037 0.0000 0.0000 0.8275 6.7038 0.0000 0.9575 -0.1124 6.9884" Properties=species:S:1:pos:R:3 pbc="T T T"
W 0.6378 0.5730 1.6189
W 7.8509 6.0184 5.3695
N 0.0000 0.0000 0.0000
Cl 1.4197 1.1422 4.1218
Cl 1.8205 2.3992 0.9135
Cl 2.9840 4.7436 4.8591
Cl 3.3301 5.9444 1.5810
Cl 5.1586 0.6470 5.4074
Cl 5.5048 1.8478 2.1293
Cl 6.6683 4.1922 6.0748
Cl 7.0691 5.4492 2.8665
```


Starting from the GGA-PBE geometry in the Materials Project, the X-ray powder pattern of Pr3Er was computed for Cu Kα (λ = 1.5418 Å).
Neutral-atom scattering factors, no anomalous dispersion.

The 6 most intense peaks (10 to 90 degrees two-theta), in order of falling intensity:
(hkl), two_theta, d [Å], I_rel
1 1 2, 29.78, 3.000, 100
2 0 0, 34.61, 2.591, 34
3 1 2, 59.07, 1.564, 29
2 0 4, 49.55, 1.840, 24
0 0 4, 34.34, 2.612, 17
1 1 6, 58.71, 1.573, 15

```
8
Lattice="5.1828 0.0000 0.0000 0.0000 5.1828 0.0000 0.0000 0.0000 10.4466" Properties=species:S:1:pos:R:3 pbc="T T T"
Pr 0.0000 0.0000 0.0000
Pr 0.0000 2.5914 2.6116
Pr 0.0000 2.5914 7.8349
Pr 2.5914 0.0000 2.6116
Pr 2.5914 0.0000 7.8349
Pr 2.5914 2.5914 5.2233
Er 0.0000 0.0000 5.2233
Er 2.5914 2.5914 0.0000
```


Starting from the GGA-PBE geometry in the Materials Project, the X-ray powder pattern of K2Al2Sb3 was computed for Cu Kα (λ = 1.5418 Å).
Neutral-atom scattering factors, no anomalous dispersion.

The 6 most intense peaks (10 to 90 degrees two-theta), in order of falling intensity:
(hkl), two_theta, d [Å], I_rel
0 0 2, 10.46, 8.454, 100
2 2 0, 27.07, 3.293, 88
4 1 -1, 27.29, 3.268, 84
1 1 -5, 29.64, 3.014, 79
3 1 -3, 26.70, 3.339, 75
3 1 -1, 22.17, 4.009, 58

```
56
Lattice="14.9364 0.0000 0.0000 0.0000 7.3462 0.0000 -0.1599 0.0000 16.9076" Properties=species:S:1:pos:R:3 pbc="T T T"
K 0.8281 0.4065 1.7846
K 0.7482 3.2666 10.2384
K 2.2390 4.0315 0.3043
K 2.1591 6.9878 8.7581
K 5.3576 0.2186 0.1181
K 5.2776 3.4544 8.5719
K 6.3310 3.9050 1.8571
K 6.2511 7.1142 10.3110
K 8.5255 0.2320 6.5967
K 8.4455 3.4411 15.0505
K 9.4989 3.8917 8.3357
K 9.4190 7.1275 16.7896
K 12.6174 0.3584 8.1495
K 12.5375 3.3147 16.6033
K 14.0284 4.0796 6.6693
K 13.9485 6.9397 15.1231
Al 1.3753 5.4313 4.4165
Al 1.2954 5.5880 12.8704
Al 2.7476 1.5898 5.5215
Al 2.6677 2.0833 13.9753
Al 4.6636 5.3938 5.4269
Al 4.5836 5.6255 13.8808
Al 6.0202 1.5435 4.5548
Al 5.9403 2.1296 13.0086
Al 8.8363 5.2166 3.8990
Al 8.7563 5.8027 12.3528
Al 10.1929 1.7207 3.0269
Al 10.1130 1.9524 11.4807
Al 12.1089 5.2629 2.9324
Al 12.0289 5.7563 11.3862
Al 13.4811 1.7582 4.0373
Al 13.4012 1.9149 12.4911
Sb 0.3190 0.3150 5.6227
Sb 0.2391 3.3581 14.0765
Sb 2.5013 4.0837 6.5265
Sb 2.4214 6.9356 14.9803
Sb 3.5861 4.9604 11.4155
Sb 3.6660 6.0589 2.9617
Sb 3.7606 1.6258 3.0101
Sb 3.6807 2.0473 11.4639
Sb 4.9444 0.3649 6.7760
Sb 4.8645 3.3082 15.2298
Sb 6.9841 3.9379 5.4714
Sb 6.9042 7.0813 13.9252
Sb 7.8723 0.2648 2.9824
Sb 7.7924 3.4083 11.4362
Sb 9.9121 4.0380 1.6778
Sb 9.8322 6.9812 10.1317
Sb 11.0959 5.2989 5.4437
Sb 11.0160 5.7203 13.8975
Sb 11.1105 1.2873 13.9459
Sb 11.1904 2.3858 5.4921
Sb 12.3552 0.4106 1.9274
Sb 12.2753 3.2625 10.3812
Sb 14.5375 3.9881 2.8311
Sb 14.4575 7.0312 11.2849
```